K2H2PdCl2: theoretical powder diffraction line list (a wavelength of 1.5418 Å), based on DFT lattice parameters and positions (PBE).
Intensities are scaled so that the largest is 100.

Principal peaks in the range 10° ≤ 2θ ≤ 90°, in order of falling intensity:
d/Å  Rel. int.
3.060  100
4.925  86
2.520  38
1.717  27
2.365  23
3.119  23

Atomic structure:
a = 6.2920 Å, b = 6.2024 Å, c = 5.7710 Å
α = 63.28°, β = 61.70°, γ = 55.01°
Positions (direct):
K: 0.2500 0.2500 0.2500
K: 0.7500 0.7500 0.7500
H: 0.1765 0.1765 0.8235
H: 0.8235 0.8235 0.1765
Pd: 0.0000 0.0000 0.0000
Cl: 0.2824 0.7176 0.2824
Cl: 0.7176 0.2824 0.7176